Theoretical powder X-ray diffraction pattern
Compound: Ba2LiSmCoCu2O7
Radiation: CuKα
Structure: a DFT-relaxed cell (GGA+U, the Materials Project)
Neutral-atom scattering factors, no anomalous dispersion.

Structure:
abc: 3.840 4.000 14.238
angles: 90.00 90.00 90.00
Space group Pmm2 (No. 25)
One atom of each set of equivalent atoms:
Ba 0.000 0.000 0.000 [1 per cell]
Ba 0.000 0.000 0.287 [1 per cell]
Li 0.000 0.000 0.556 [1 per cell]
Sm 0.000 0.000 0.740 [1 per cell]
Co 0.500 0.500 0.154 [1 per cell]
Cu 0.500 0.500 0.608 [1 per cell]
Cu 0.500 0.500 0.848 [1 per cell]
O 0.000 0.500 0.611 [1 per cell]
O 0.000 0.500 0.830 [1 per cell]
O 0.500 0.000 0.155 [1 per cell]
O 0.500 0.000 0.616 [1 per cell]
O 0.500 0.000 0.837 [1 per cell]
O 0.500 0.500 0.026 [1 per cell]
O 0.500 0.500 0.285 [1 per cell]

Peak list (10 most intense, 2θ from 5° to 70°, by intensity)
2θ = 6.21°, I = 100
2θ = 32.32°, I = 66
2θ = 34.35°, I = 45
2θ = 33.71°, I = 42
2θ = 12.43°, I = 34
2θ = 29.93°, I = 30
2θ = 29.20°, I = 27
2θ = 45.35°, I = 21
2θ = 56.10°, I = 20
2θ = 58.10°, I = 19